Record 1
Simulated powder diffraction line list of Hf5Fe4Os for Cu Ka, from a DFT-relaxed cell (PBE, Alexandria).
Peak positions follow from Bragg's law for the DFT cell and can differ from measured ones.

Peak list (10 most intense, 2θ = 10–90°, sorted by position)
- 2θ 28.17, I 10, hkl 1 0 0
- 2θ 28.28, I 5, hkl 0 0 5
- 2θ 40.32, I 100, hkl 1 1 0
- 2θ 49.93, I 5, hkl 1 1 5
- 2θ 58.26, I 11, hkl 2 0 0
- 2θ 58.50, I 6, hkl 0 0 10
- 2θ 65.97, I 4, hkl 2 1 0
- 2θ 73.25, I 23, hkl 2 1 5
- 2θ 73.41, I 11, hkl 1 1 10
- 2θ 87.21, I 7, hkl 2 0 10

Atomic structure:
```
Hf5Fe4Os
1.0
3.1673 0.0000 0.0000
0.0000 3.1673 0.0000
0.0000 0.0000 15.7785
Hf Fe Os
5 4 1
direct
0.0000 0.0000 0.0000 Hf
0.0000 0.0000 0.1973 Hf
0.0000 0.0000 0.3946 Hf
0.0000 0.0000 0.6054 Hf
0.0000 0.0000 0.8027 Hf
0.5000 0.5000 0.0986 Fe
0.5000 0.5000 0.2959 Fe
0.5000 0.5000 0.7041 Fe
0.5000 0.5000 0.9014 Fe
0.5000 0.5000 0.5000 Os
```

=====

Record 2
Simulated powder diffraction line list of HfTaFeOs for Cu Ka, from a DFT-relaxed cell (PBE, Alexandria).
Peak positions follow from Bragg's law for the DFT cell and can differ from measured ones.

Peak list (10 most intense, 2θ = 10–90°, sorted by position)
- 2θ 13.83, I 10, hkl 0 0 1
- 2θ 31.61, I 12, hkl 1 0 1
- 2θ 40.13, I 100, hkl 1 0 2
- 2θ 40.43, I 50, hkl 1 1 0
- 2θ 57.60, I 8, hkl 0 0 4
- 2θ 58.50, I 17, hkl 2 0 0
- 2θ 72.71, I 17, hkl 1 1 4
- 2θ 73.32, I 34, hkl 2 1 2
- 2θ 86.65, I 11, hkl 2 0 4
- 2θ 87.42, I 6, hkl 2 2 0

Atomic structure:
```
HfTaFeOs
1.0
3.1555 0.0000 0.0000
0.0000 3.1555 0.0000
0.0000 0.0000 6.4014
Hf Ta Fe Os
1 1 1 1
direct
0.0000 0.0000 0.0000 Hf
0.0000 0.0000 0.5186 Ta
0.5000 0.5000 0.7471 Fe
0.5000 0.5000 0.2682 Os
```